Li9Mn2Co5O16: simulated XRD peak list (Cu Kα (weighted mean of Kα1 and Kα2)), based on a PBE+U-relaxed structure.
Kinematic intensities with the Lorentz-polarization factor, no thermal factor.

Main lines, by angle (2θ = 10–90°):
2θ/deg  I/Imax
18.33  100
35.58  16
36.16  27
37.63  7
42.96  29
43.84  54
47.55  9
57.75  9
62.83  15
63.30  22
64.16  7
80.35  7

Structural model:
```
Li9Mn2Co5O16
1.0
5.1562 -2.9032 0.0000
5.1562 2.9032 0.0000
-3.5294 0.0000 9.5946
Li Mn Co O
9 2 5 16
direct
0.0000 0.0000 0.0000
0.0000 0.5000 0.0000
0.0000 0.5000 0.5000
0.2450 0.2450 0.2372
0.2508 0.2508 0.7535
0.5000 0.0000 0.0000
0.5000 0.0000 0.5000
0.7492 0.7492 0.2465
0.7550 0.7550 0.7628
0.0000 0.0000 0.5000
0.5000 0.5000 0.0000
0.2440 0.7525 0.7563
0.2475 0.7560 0.2437
0.5000 0.5000 0.5000
0.7525 0.2440 0.7563
0.7560 0.2475 0.2437
0.1132 0.1132 0.8581
0.1152 0.1152 0.3811
0.1308 0.6444 0.3852
0.1493 0.6208 0.8783
0.3556 0.8692 0.6148
0.3792 0.8507 0.1217
0.3839 0.3839 0.1169
0.3914 0.3914 0.6343
0.6086 0.6086 0.3657
0.6162 0.6162 0.8831
0.6208 0.1493 0.8783
0.6444 0.1308 0.3852
0.8507 0.3792 0.1217
0.8692 0.3556 0.6148
0.8848 0.8848 0.6189
0.8868 0.8868 0.1419
```